This entry pairs a crystal structure of PmTc2ClO8 with its simulated X-ray diffraction stick pattern. Radiation: λ = 1.5418 Å (Cu Kα). Structure: DFT lattice parameters and positions (PBE).
No peak broadening, texture or thermal motion is included.

Cell and atoms:
```
data_PmTc2ClO8
_chemical_formula_sum 'Pm2 Tc4 Cl2 O16'
_space_group_name_H-M_alt 'C 1 2/m 1'
_space_group_IT_number 12
_cell_length_a 11.968
_cell_length_b 6.905
_cell_length_c 5.608
_cell_angle_alpha 90.00
_cell_angle_beta 91.13
_cell_angle_gamma 90.00
loop_
_space_group_symop_operation_xyz
'x,y,z'
'-x,-y,-z'
'-x,y,-z'
'x,-y,z'
'x+1/2,y+1/2,z'
'-x+1/2,-y+1/2,-z'
'-x+1/2,y+1/2,-z'
'x+1/2,-y+1/2,z'
loop_
_atom_site_label
_atom_site_type_symbol
_atom_site_fract_x
_atom_site_fract_y
_atom_site_fract_z
Pm1 Pm 0.000 0.000 0.000
Tc1 Tc 0.169 0.500 0.237
Cl1 Cl 0.000 0.000 0.500
O1 O 0.098 0.293 0.139
O2 O 0.175 0.500 0.542
O3 O 0.195 0.000 0.873
```

Principal peaks in the range 10° ≤ 2θ ≤ 80°, low angle first:
- 15.81 deg, rel. 17.8
- 21.51 deg, rel. 33.3
- 21.84 deg, rel. 63.6
- 25.80 deg, rel. 100.0
- 35.08 deg, rel. 11.6
- 35.50 deg, rel. 23.0
- 42.85 deg, rel. 11.1
- 43.38 deg, rel. 10.7
- 45.49 deg, rel. 18.9
- 53.04 deg, rel. 18.4


This entry pairs a crystal structure of KSbPbO6 with its simulated X-ray diffraction stick pattern. Radiation: λ = 1.5418 Å (Cu Kα). Structure: DFT lattice parameters and positions (PBE).
No peak broadening, texture or thermal motion is included.

Cell and atoms:
```
data_KSbPbO6
_chemical_formula_sum 'K2 Sb2 Pb2 O12'
_space_group_name_H-M_alt 'P -3 1 c'
_space_group_IT_number 163
_space_group_name_Hall '-P 3 2c'
_cell_length_a 5.6335
_cell_length_b 5.6335
_cell_length_c 11.8939
_cell_angle_alpha 90.00
_cell_angle_beta 90.00
_cell_angle_gamma 120.00
loop_
_atom_site_label
_atom_site_type_symbol
_atom_site_fract_x
_atom_site_fract_y
_atom_site_fract_z
K1 K 0.0000 0.0000 0.0000
Sb1 Sb 0.3333 0.6667 0.2500
Pb1 Pb 0.3333 0.6667 0.7500
O1 O 0.0254 0.3910 0.1536
```

Principal peaks in the range 10° ≤ 2θ ≤ 80°, low angle first:
- 14.90 deg, rel. 100.0
- 18.18 deg, rel. 34.4
- 23.59 deg, rel. 90.1
- 31.77 deg, rel. 49.1
- 35.27 deg, rel. 65.7
- 39.95 deg, rel. 18.9
- 44.30 deg, rel. 61.5
- 51.92 deg, rel. 19.9
- 56.79 deg, rel. 19.4
- 58.89 deg, rel. 21.5


This entry pairs a crystal structure of NpSb2As with its simulated X-ray diffraction stick pattern. Radiation: λ = 1.5418 Å (Cu Kα). Structure: DFT lattice parameters and positions (PBE).
No peak broadening, texture or thermal motion is included.

Cell and atoms:
```
data_NpSb2As
_chemical_formula_sum 'Np1 Sb2 As1'
_space_group_name_H-M_alt 'P 4/m m m'
_space_group_IT_number 123
_space_group_name_Hall '-P 4 2'
_cell_length_a 4.432
_cell_length_b 4.432
_cell_length_c 4.855
_cell_angle_alpha 90.00
_cell_angle_beta 90.00
_cell_angle_gamma 90.00
loop_
_atom_site_label
_atom_site_type_symbol
_atom_site_fract_x
_atom_site_fract_y
_atom_site_fract_z
Np1 Np 0.000 0.000 0.000
Sb1 Sb 0.000 0.500 0.500
As1 As 0.500 0.500 0.000
```

Principal peaks in the range 10° ≤ 2θ ≤ 80°, low angle first:
- 20.03 deg, rel. 13.8
- 27.24 deg, rel. 13.5
- 34.05 deg, rel. 100.0
- 37.03 deg, rel. 19.9
- 40.72 deg, rel. 30.6
- 56.20 deg, rel. 23.9
- 58.94 deg, rel. 10.3
- 64.84 deg, rel. 15.5
- 69.85 deg, rel. 24.9
- 71.69 deg, rel. 11.6


This entry pairs a crystal structure of Ni3Rh2 with its simulated X-ray diffraction stick pattern. Radiation: λ = 1.5418 Å (Cu Kα). Structure: DFT lattice parameters and positions (PBE).
No peak broadening, texture or thermal motion is included.

Cell and atoms:
```
data_Ni3Rh2
_chemical_formula_sum 'Ni6 Rh4'
_space_group_name_H-M_alt 'I m m m'
_space_group_IT_number 71
_space_group_name_Hall '-I 2 2'
_cell_length_a 2.632
_cell_length_b 3.633
_cell_length_c 13.058
_cell_angle_alpha 90.00
_cell_angle_beta 90.00
_cell_angle_gamma 90.00
loop_
_atom_site_label
_atom_site_type_symbol
_atom_site_fract_x
_atom_site_fract_y
_atom_site_fract_z
Ni1 Ni 0.000 0.000 0.000
Ni2 Ni 0.000 0.000 0.201
Rh1 Rh 0.000 0.000 0.397
```

Principal peaks in the range 10° ≤ 2θ ≤ 80°, low angle first:
- 25.45 deg, rel. 9.8
- 27.32 deg, rel. 5.1
- 34.78 deg, rel. 4.3
- 42.41 deg, rel. 100.0
- 42.64 deg, rel. 98.0
- 49.15 deg, rel. 63.8
- 50.23 deg, rel. 30.0
- 71.73 deg, rel. 9.8
- 72.37 deg, rel. 9.3
- 72.91 deg, rel. 37.8


This entry pairs a crystal structure of Sr3Ir3N5 with its simulated X-ray diffraction stick pattern. Radiation: λ = 1.5418 Å (Cu Kα). Structure: DFT lattice parameters and positions (PBE).
No peak broadening, texture or thermal motion is included.

Cell and atoms:
```
data_Sr3Ir3N5
_chemical_formula_sum 'Sr6 Ir6 N10'
_space_group_name_H-M_alt 'P -1'
_space_group_IT_number 2
_cell_length_a 6.557
_cell_length_b 7.718
_cell_length_c 8.048
_cell_angle_alpha 70.82
_cell_angle_beta 71.00
_cell_angle_gamma 81.83
loop_
_space_group_symop_operation_xyz
'x,y,z'
'-x,-y,-z'
loop_
_atom_site_label
_atom_site_type_symbol
_atom_site_fract_x
_atom_site_fract_y
_atom_site_fract_z
Sr1 Sr 0.028 0.195 0.282
Sr2 Sr 0.296 0.622 0.377
Sr3 Sr 0.372 0.908 0.898
Ir1 Ir 0.130 0.296 0.782
Ir2 Ir 0.313 0.497 0.921
Ir3 Ir 0.397 0.159 0.490
N1 N 0.108 0.277 0.552
N2 N 0.143 0.605 0.099
N3 N 0.323 0.968 0.410
N4 N 0.337 0.233 0.940
N5 N 0.383 0.648 0.666
```

Principal peaks in the range 10° ≤ 2θ ≤ 80°, low angle first:
- 15.80 deg, rel. 54.2
- 18.43 deg, rel. 31.1
- 19.70 deg, rel. 52.0
- 30.23 deg, rel. 34.2
- 30.61 deg, rel. 53.3
- 30.91 deg, rel. 74.5
- 31.86 deg, rel. 45.7
- 32.10 deg, rel. 100.0
- 33.81 deg, rel. 42.5
- 37.86 deg, rel. 35.5


This entry pairs a crystal structure of Ce2BeGe4Pt3 with its simulated X-ray diffraction stick pattern. Radiation: λ = 1.5418 Å (Cu Kα). Structure: DFT lattice parameters and positions (PBE).
No peak broadening, texture or thermal motion is included.

Cell and atoms:
```
data_Ce2BeGe4Pt3
_chemical_formula_sum 'Ce2 Be1 Ge4 Pt3'
_space_group_name_H-M_alt 'P -4 m 2'
_space_group_IT_number 115
_cell_length_a 4.236
_cell_length_b 4.236
_cell_length_c 10.389
_cell_angle_alpha 90.00
_cell_angle_beta 90.00
_cell_angle_gamma 90.00
loop_
_space_group_symop_operation_xyz
'x,y,z'
'y,-x,-z'
'-x,-y,z'
'-y,x,-z'
'-x,y,z'
'-y,-x,-z'
'x,-y,z'
'y,x,-z'
loop_
_atom_site_label
_atom_site_type_symbol
_atom_site_fract_x
_atom_site_fract_y
_atom_site_fract_z
Ce1 Ce 0.000 0.500 0.244
Be1 Be 0.500 0.500 0.000
Ge1 Ge 0.000 0.000 0.500
Ge2 Ge 0.000 0.500 0.871
Ge3 Ge 0.500 0.500 0.500
Pt1 Pt 0.000 0.000 0.000
Pt2 Pt 0.000 0.500 0.633
```

Principal peaks in the range 10° ≤ 2θ ≤ 80°, low angle first:
- 27.16 deg, rel. 39.0
- 29.83 deg, rel. 34.6
- 33.42 deg, rel. 94.3
- 34.56 deg, rel. 100.0
- 42.69 deg, rel. 82.2
- 46.26 deg, rel. 34.8
- 48.82 deg, rel. 54.5
- 55.27 deg, rel. 45.2
- 61.94 deg, rel. 36.5
- 66.83 deg, rel. 39.0


This entry pairs a crystal structure of KLi3Se with its simulated X-ray diffraction stick pattern. Radiation: λ = 1.5418 Å (Cu Kα). Structure: DFT lattice parameters and positions (PBE).
No peak broadening, texture or thermal motion is included.

Cell and atoms:
```
data_KLi3Se
_chemical_formula_sum 'K1 Li3 Se1'
_space_group_name_H-M_alt 'P m -3 m'
_space_group_IT_number 221
_space_group_name_Hall '-P 4 2 3'
_cell_length_a 5.168
_cell_length_b 5.168
_cell_length_c 5.168
_cell_angle_alpha 90.00
_cell_angle_beta 90.00
_cell_angle_gamma 90.00
loop_
_atom_site_label
_atom_site_type_symbol
_atom_site_fract_x
_atom_site_fract_y
_atom_site_fract_z
K1 K 0.000 0.000 0.000
Li1 Li 0.000 0.500 0.500
Se1 Se 0.500 0.500 0.500
```

Principal peaks in the range 10° ≤ 2θ ≤ 80°, low angle first:
- 17.16 deg, rel. 15.8
- 24.36 deg, rel. 100.0
- 34.72 deg, rel. 26.7
- 38.97 deg, rel. 8.4
- 42.87 deg, rel. 41.3
- 49.92 deg, rel. 18.1
- 56.30 deg, rel. 17.7
- 62.23 deg, rel. 6.0
- 67.86 deg, rel. 19.7
- 78.53 deg, rel. 9.7


This entry pairs a crystal structure of RbTcHg2Br8 with its simulated X-ray diffraction stick pattern. Radiation: λ = 1.5418 Å (Cu Kα). Structure: DFT lattice parameters and positions (PBE).
No peak broadening, texture or thermal motion is included.

Cell and atoms:
```
data_RbTcHg2Br8
_chemical_formula_sum 'Rb1 Tc1 Hg2 Br8'
_space_group_name_H-M_alt 'P -1'
_space_group_IT_number 2
_cell_length_a 6.979
_cell_length_b 7.444
_cell_length_c 9.270
_cell_angle_alpha 69.56
_cell_angle_beta 84.79
_cell_angle_gamma 84.63
loop_
_space_group_symop_operation_xyz
'x,y,z'
'-x,-y,-z'
loop_
_atom_site_label
_atom_site_type_symbol
_atom_site_fract_x
_atom_site_fract_y
_atom_site_fract_z
Rb1 Rb 0.000 0.000 0.000
Tc1 Tc 0.000 0.500 0.500
Hg1 Hg 0.467 0.517 0.218
Br1 Br 0.129 0.475 0.757
Br2 Br 0.221 0.765 0.355
Br3 Br 0.264 0.265 0.457
Br4 Br 0.461 0.780 0.929
```

Principal peaks in the range 10° ≤ 2θ ≤ 80°, low angle first:
- 12.73 deg, rel. 100.0
- 15.86 deg, rel. 22.7
- 17.42 deg, rel. 28.2
- 23.52 deg, rel. 23.1
- 26.78 deg, rel. 22.3
- 27.09 deg, rel. 24.4
- 27.71 deg, rel. 32.7
- 31.07 deg, rel. 28.9
- 35.30 deg, rel. 16.1
- 37.20 deg, rel. 32.4


This entry pairs a crystal structure of CePr6Y10 with its simulated X-ray diffraction stick pattern. Radiation: λ = 1.5418 Å (Cu Kα). Structure: DFT lattice parameters and positions (PBE).
No peak broadening, texture or thermal motion is included.

Cell and atoms:
```
data_CePr6Y10
_chemical_formula_sum 'Ce1 Pr6 Y10'
_space_group_name_H-M_alt 'P -3 1 m'
_space_group_IT_number 162
_space_group_name_Hall '-P 3 2'
_cell_length_a 9.7894
_cell_length_b 9.7894
_cell_length_c 7.0119
_cell_angle_alpha 90.00
_cell_angle_beta 90.00
_cell_angle_gamma 120.00
loop_
_atom_site_label
_atom_site_type_symbol
_atom_site_fract_x
_atom_site_fract_y
_atom_site_fract_z
Ce1 Ce 0.0000 0.0000 0.0000
Pr1 Pr 0.0000 0.3801 0.7992
Y1 Y 0.0000 0.2705 0.3170
Y2 Y 0.3333 0.6667 0.0000
Y3 Y 0.3333 0.6667 0.5000
```

Principal peaks in the range 10° ≤ 2θ ≤ 80°, low angle first:
- 22.15 deg, rel. 13.7
- 30.68 deg, rel. 53.7
- 31.39 deg, rel. 100.0
- 31.66 deg, rel. 73.5
- 40.46 deg, rel. 17.5
- 45.18 deg, rel. 22.3
- 48.58 deg, rel. 12.6
- 55.71 deg, rel. 18.6
- 56.22 deg, rel. 14.7
- 62.38 deg, rel. 13.4


This entry pairs a crystal structure of NiHg3 with its simulated X-ray diffraction stick pattern. Radiation: λ = 1.5418 Å (Cu Kα). Structure: DFT lattice parameters and positions (PBE).
No peak broadening, texture or thermal motion is included.

Cell and atoms:
```
data_NiHg3
_chemical_formula_sum 'Ni2 Hg6'
_space_group_name_H-M_alt 'I m m m'
_space_group_IT_number 71
_space_group_name_Hall '-I 2 2'
_cell_length_a 2.948
_cell_length_b 4.507
_cell_length_c 12.979
_cell_angle_alpha 90.00
_cell_angle_beta 90.00
_cell_angle_gamma 90.00
loop_
_atom_site_label
_atom_site_type_symbol
_atom_site_fract_x
_atom_site_fract_y
_atom_site_fract_z
Ni1 Ni 0.000 0.000 0.000
Hg1 Hg 0.000 0.000 0.500
Hg2 Hg 0.000 0.500 0.320
```

Principal peaks in the range 10° ≤ 2θ ≤ 80°, low angle first:
- 28.60 deg, rel. 100.0
- 31.11 deg, rel. 27.7
- 39.06 deg, rel. 87.4
- 40.02 deg, rel. 38.8
- 41.76 deg, rel. 25.9
- 46.22 deg, rel. 24.0
- 46.62 deg, rel. 20.7
- 59.21 deg, rel. 18.6
- 63.07 deg, rel. 26.1
- 69.32 deg, rel. 24.5


This entry pairs a crystal structure of Sc4TeRh with its simulated X-ray diffraction stick pattern. Radiation: λ = 1.5418 Å (Cu Kα). Structure: DFT lattice parameters and positions (PBE).
No peak broadening, texture or thermal motion is included.

Cell and atoms:
```
data_Sc4TeRh
_chemical_formula_sum 'Sc16 Te4 Rh4'
_space_group_name_H-M_alt 'P n m a'
_space_group_IT_number 62
_cell_length_a 7.614
_cell_length_b 3.777
_cell_length_c 18.077
_cell_angle_alpha 90.00
_cell_angle_beta 90.00
_cell_angle_gamma 90.00
loop_
_space_group_symop_operation_xyz
'x,y,z'
'-x,-y,-z'
'-x+1/2,-y,z+1/2'
'x+1/2,y,-z+1/2'
'x+1/2,-y+1/2,-z+1/2'
'-x+1/2,y+1/2,z+1/2'
'-x,y+1/2,-z'
'x,-y+1/2,z'
loop_
_atom_site_label
_atom_site_type_symbol
_atom_site_fract_x
_atom_site_fract_y
_atom_site_fract_z
Sc1 Sc 0.001 0.250 0.068
Sc2 Sc 0.044 0.750 0.212
Sc3 Sc 0.139 0.750 0.449
Sc4 Sc 0.142 0.750 0.648
Te1 Te 0.240 0.250 0.310
Rh1 Rh 0.242 0.250 0.550
```

Principal peaks in the range 10° ≤ 2θ ≤ 80°, low angle first:
- 22.88 deg, rel. 88.7
- 23.37 deg, rel. 42.2
- 26.80 deg, rel. 41.3
- 33.07 deg, rel. 49.8
- 34.33 deg, rel. 54.3
- 36.69 deg, rel. 100.0
- 40.78 deg, rel. 57.6
- 41.95 deg, rel. 46.4
- 43.24 deg, rel. 36.1
- 48.18 deg, rel. 36.9


This entry pairs a crystal structure of Li3U5Se12 with its simulated X-ray diffraction stick pattern. Radiation: λ = 1.5418 Å (Cu Kα). Structure: DFT lattice parameters and positions (PBE).
No peak broadening, texture or thermal motion is included.

Cell and atoms:
```
data_Li3U5Se12
_chemical_formula_sum 'Li3 U5 Se12'
_space_group_name_H-M_alt 'P -6 2 m'
_space_group_IT_number 189
_space_group_name_Hall 'P -6 -2'
_cell_length_a 11.3547
_cell_length_b 11.3547
_cell_length_c 4.0563
_cell_angle_alpha 90.00
_cell_angle_beta 90.00
_cell_angle_gamma 120.00
loop_
_atom_site_label
_atom_site_type_symbol
_atom_site_fract_x
_atom_site_fract_y
_atom_site_fract_z
Li1 Li 0.0000 0.6792 0.0000
U1 U 0.0000 0.2843 0.5000
U2 U 0.3333 0.6667 0.5000
Se1 Se 0.0000 0.5263 0.5000
Se2 Se 0.0000 0.8329 0.5000
Se3 Se 0.1973 0.4534 0.0000
```

Principal peaks in the range 10° ≤ 2θ ≤ 80°, low angle first:
- 15.61 deg, rel. 55.3
- 21.91 deg, rel. 43.6
- 27.21 deg, rel. 22.9
- 32.68 deg, rel. 100.0
- 32.84 deg, rel. 27.1
- 35.20 deg, rel. 66.8
- 38.72 deg, rel. 35.2
- 39.96 deg, rel. 28.1
- 44.68 deg, rel. 24.6
- 46.04 deg, rel. 38.7